No. 1
The following is a calculated powder X-ray diffraction pattern of Ge3PbI. It was derived from a DFT-relaxed cell (PBE, Alexandria), using Cu Kα (weighted mean of Kα1 and Kα2).

Main lines, by intensity (5 to 70 degrees two-theta):
d/Å  2theta  I_rel
2.801  32.0  100
3.961  22.4  100
1.981  45.8  74
2.287  39.4  48
5.602  15.8  39
1.497  62.0  26
1.617  56.9  26
2.505  35.8  23
1.771  51.6  22
3.234  27.6  14
1.867  48.8  12
1.400  66.8  12

Crystal structure
Lattice parameters (Å, degrees): 5.602 5.602 5.602 90.00 90.00 90.00
Space group Pm-3m (No. 221)
Unique sites:
Ge: 0.000 0.000 0.500 [3 per cell]
Pb: 0.000 0.000 0.000 [1 per cell]
I: 0.500 0.500 0.500 [1 per cell]

=====

No. 2
The following is a calculated powder X-ray diffraction pattern of Tb3FeIr8. It was derived from a DFT-relaxed cell (PBE, Alexandria), using Cu Kα (weighted mean of Kα1 and Kα2).

Main lines, by intensity (5 to 70 degrees two-theta):
d/Å  2theta  I_rel
2.269  39.7  100
2.173  41.6  54
1.448  64.3  31
4.345  20.4  21
2.661  33.7  17
1.881  48.4  12
1.726  53.0  6
1.536  60.2  6
2.895  30.9  2
3.453  25.8  2
4.540  19.6  1
1.454  64.0  1

Crystal structure
Lattice parameters (Å, degrees): 5.3242 5.3242 26.0452 90.00 90.00 120.00
Space group R3m (No. 160, hexagonal axes)
Unique sites:
Tb: 0.0000 0.0000 0.0000 [3 per cell]
Tb: 0.0000 0.0000 0.1285 [3 per cell]
Tb: 0.0000 0.0000 0.5119 [3 per cell]
Fe: 0.0000 0.0000 0.6417 [3 per cell]
Ir: 0.0000 0.0000 0.3154 [3 per cell]
Ir: 0.0000 0.0000 0.8160 [3 per cell]
Ir: 0.0011 0.5006 0.5672 [9 per cell]
Ir: 0.1671 0.3342 0.3981 [9 per cell]